No. 1
Calculated XRD peak list
Compound: RbMgCl3
Radiation: Cu Kα (weighted mean of Kα1 and Kα2)
Structure: a cell relaxed with GGA-PBE
Peak positions follow from Bragg's law for the DFT cell and can differ from measured ones.

Crystal structure
```
data_RbMgCl3
_space_group_name_H-M_alt 'P 63/m m c'
_space_group_IT_number 194
_space_group_name_Hall '-P 6c 2c'
_cell_length_a 7.2062
_cell_length_b 7.2062
_cell_length_c 12.0032
_cell_angle_alpha 90.00
_cell_angle_beta 90.00
_cell_angle_gamma 120.00
loop_
_atom_site_label
_atom_site_fract_x
_atom_site_fract_y
_atom_site_fract_z
Rb1 0.0000 0.0000 0.0000
Rb2 0.3333 0.6667 0.2500
Mg1 0.3333 0.6667 0.6181
Cl1 0.0000 0.5000 0.0000
Cl2 0.1760 0.3520 0.7500
```

Main lines, by angle (2θ = 15–90°):
2θ (°), d/Å, Rel. int., index
20.53, 4.326, 228, 1 0 2
24.71, 3.603, 276, 1 1 0
29.58, 3.020, 291, 2 0 1
29.77, 3.001, 290, 0 0 4
32.34, 2.769, 1000, 2 0 2
36.52, 2.461, 344, 2 0 3
47.79, 1.903, 167, 2 0 5
50.67, 1.802, 287, 2 2 0
54.49, 1.684, 243, 2 0 6
59.88, 1.545, 193, 2 2 4
61.40, 1.510, 133, 4 0 2
83.92, 1.153, 137, 2 2 8

***

No. 2
Calculated XRD peak list
Compound: MgW2S2Cl8
Radiation: Cu Kα (weighted mean of Kα1 and Kα2)
Structure: a cell relaxed with GGA-PBE
Peak positions follow from Bragg's law for the DFT cell and can differ from measured ones.

Crystal structure
```
data_MgW2S2Cl8
_space_group_name_H-M_alt 'P 1'
_space_group_IT_number 1
_cell_length_a 7.375
_cell_length_b 7.550
_cell_length_c 7.789
_cell_angle_alpha 77.35
_cell_angle_beta 82.14
_cell_angle_gamma 79.56
loop_
_space_group_symop_operation_xyz
'x,y,z'
loop_
_atom_site_label
_atom_site_fract_x
_atom_site_fract_y
_atom_site_fract_z
Mg1 0.000 0.000 0.000
W1 0.208 0.032 0.387
W2 0.921 0.550 0.990
S1 0.390 0.783 0.441
S2 0.712 0.787 0.954
Cl1 0.037 0.065 0.665
Cl2 0.074 0.511 0.721
Cl3 0.182 0.686 0.022
Cl4 0.263 0.125 0.069
Cl5 0.378 0.251 0.407
Cl6 0.767 0.297 0.972
Cl7 0.911 0.431 0.292
Cl8 0.927 0.946 0.325
```

Main lines, by angle (2θ = 15–90°):
2θ (°), d/Å, Rel. int., index
15.12, 5.858, 860, 0 1 1
15.89, 5.578, 524, 1 1 0
16.10, 5.506, 467, 1 0 1
17.44, 5.085, 499, 1 1 1
17.83, 4.975, 724, 1 0 -1
18.57, 4.778, 1000, 0 1 -1
22.68, 3.920, 364, 1 -1 1
23.53, 3.781, 404, 0 0 2
29.18, 3.060, 566, 1 -2 0
31.52, 2.838, 695, 2 2 1
35.60, 2.522, 326, 0 0 3
39.03, 2.308, 304, 1 0 -3

***

No. 3
Calculated XRD peak list
Compound: MgW2S2Cl8
Radiation: Cu Kα (weighted mean of Kα1 and Kα2)
Structure: a cell relaxed with GGA-PBE
Peak positions follow from Bragg's law for the DFT cell and can differ from measured ones.

Crystal structure
```
data_MgW2S2Cl8
_space_group_name_H-M_alt 'P 1'
_space_group_IT_number 1
_cell_length_a 6.539
_cell_length_b 7.707
_cell_length_c 8.284
_cell_angle_alpha 97.13
_cell_angle_beta 95.60
_cell_angle_gamma 97.48
loop_
_space_group_symop_operation_xyz
'x,y,z'
loop_
_atom_site_label
_atom_site_fract_x
_atom_site_fract_y
_atom_site_fract_z
Mg1 0.000 0.000 0.000
W1 0.076 0.388 0.776
W2 0.444 0.819 0.288
S1 0.632 0.911 0.510
S2 0.875 0.353 0.557
Cl1 0.046 0.685 0.895
Cl2 0.125 0.713 0.360
Cl3 0.184 0.102 0.772
Cl4 0.277 0.073 0.222
Cl5 0.401 0.493 0.721
Cl6 0.502 0.534 0.213
Cl7 0.652 0.898 0.069
Cl8 0.888 0.297 0.992
```

Main lines, by angle (2θ = 15–90°):
2θ (°), d/Å, Rel. int., index
16.52, 5.367, 795, 1 0 -1
16.74, 5.295, 739, 1 -1 0
17.04, 5.202, 1000, 0 1 1
18.51, 4.794, 706, 1 0 1
19.34, 4.589, 353, 1 1 0
21.77, 4.083, 354, 0 0 2
23.51, 3.784, 247, 0 2 0
24.46, 3.639, 215, 1 0 -2
27.16, 3.283, 579, 1 0 2
33.40, 2.683, 229, 0 1 -3
35.82, 2.507, 368, 2 1 -2
36.33, 2.473, 391, 1 -3 0

***

No. 4
Calculated XRD peak list
Compound: MgW2S2Cl8
Radiation: Cu Kα (weighted mean of Kα1 and Kα2)
Structure: a cell relaxed with GGA-PBE
Peak positions follow from Bragg's law for the DFT cell and can differ from measured ones.

Crystal structure
```
data_MgW2S2Cl8
_space_group_name_H-M_alt 'P 1'
_space_group_IT_number 1
_cell_length_a 6.169
_cell_length_b 7.934
_cell_length_c 8.795
_cell_angle_alpha 91.42
_cell_angle_beta 99.87
_cell_angle_gamma 96.94
loop_
_space_group_symop_operation_xyz
'x,y,z'
loop_
_atom_site_label
_atom_site_fract_x
_atom_site_fract_y
_atom_site_fract_z
Mg1 0.000 0.000 0.000
W1 0.342 0.206 0.774
W2 0.659 0.783 0.219
S1 0.138 0.965 0.727
S2 0.863 0.024 0.273
Cl1 0.150 0.430 0.718
Cl2 0.275 0.248 0.044
Cl3 0.288 0.792 0.099
Cl4 0.477 0.233 0.547
Cl5 0.528 0.742 0.446
Cl6 0.713 0.205 0.899
Cl7 0.725 0.751 0.948
Cl8 0.853 0.559 0.266
```

Main lines, by angle (2θ = 15–90°):
2θ (°), d/Å, Rel. int., index
15.57, 5.692, 1000, 0 1 1
16.38, 5.413, 432, 1 0 -1
17.36, 5.109, 326, 1 -1 0
19.37, 4.583, 400, 1 0 1
19.66, 4.516, 328, 1 1 0
20.52, 4.328, 228, 0 0 2
21.22, 4.187, 248, 1 -1 1
22.60, 3.934, 298, 0 2 0
25.42, 3.504, 253, 1 -2 0
31.94, 2.802, 415, 1 0 -3
33.14, 2.703, 210, 2 0 1
37.88, 2.375, 270, 2 -2 1

***

No. 5
Calculated XRD peak list
Compound: MgW2S2Cl8
Radiation: Cu Kα (weighted mean of Kα1 and Kα2)
Structure: a cell relaxed with GGA-PBE
Peak positions follow from Bragg's law for the DFT cell and can differ from measured ones.

Crystal structure
```
data_MgW2S2Cl8
_space_group_name_H-M_alt 'P 1'
_space_group_IT_number 1
_cell_length_a 6.471
_cell_length_b 7.258
_cell_length_c 8.342
_cell_angle_alpha 77.25
_cell_angle_beta 71.70
_cell_angle_gamma 88.62
loop_
_space_group_symop_operation_xyz
'x,y,z'
loop_
_atom_site_label
_atom_site_fract_x
_atom_site_fract_y
_atom_site_fract_z
Mg1 0.000 0.000 0.000
W1 0.107 0.626 0.761
W2 0.379 0.157 0.327
S1 0.547 0.421 0.251
S2 0.917 0.365 0.857
Cl1 0.020 0.226 0.420
Cl2 0.120 0.715 0.473
Cl3 0.176 0.692 0.011
Cl4 0.322 0.117 0.062
Cl5 0.379 0.051 0.614
Cl6 0.460 0.542 0.674
Cl7 0.683 0.945 0.258
Cl8 0.844 0.867 0.812
```

Main lines, by angle (2θ = 15–90°):
2θ (°), d/Å, Rel. int., index
15.34, 5.776, 1000, 1 0 1
18.66, 4.755, 414, 1 -1 0
18.83, 4.713, 826, 0 1 -1
19.61, 4.526, 389, 1 1 0
22.89, 3.886, 246, -1 1 1
23.05, 3.859, 345, 0 0 2
24.01, 3.707, 368, 1 1 2
25.20, 3.534, 390, 0 2 0
29.78, 3.000, 377, 1 2 0
31.20, 2.866, 445, 2 -1 0
33.23, 2.696, 426, 1 0 3
40.79, 2.212, 329, -2 2 1

***

No. 6
Calculated XRD peak list
Compound: Na2Mn3Cl8
Radiation: Cu Kα (weighted mean of Kα1 and Kα2)
Structure: a cell relaxed with GGA-PBE
Peak positions follow from Bragg's law for the DFT cell and can differ from measured ones.

Crystal structure
```
data_Na2Mn3Cl8
_space_group_name_H-M_alt 'R -3 m'
_space_group_IT_number 166
_space_group_name_Hall '-R 3 2"'
_cell_length_a 7.5011
_cell_length_b 7.5011
_cell_length_c 19.7550
_cell_angle_alpha 90.00
_cell_angle_beta 90.00
_cell_angle_gamma 120.00
loop_
_atom_site_label
_atom_site_fract_x
_atom_site_fract_y
_atom_site_fract_z
Na1 0.0000 0.0000 0.1587
Mn1 0.0000 0.5000 0.0000
Cl1 0.0000 0.0000 0.4038
Cl2 0.0178 0.5089 0.4056
```

Main lines, by angle (2θ = 15–90°):
2θ (°), d/Å, Rel. int., index
16.33, 5.428, 312, 0 1 2
22.62, 3.932, 101, 1 0 4
27.37, 3.259, 206, 1 1 3
28.94, 3.086, 558, 2 0 2
35.79, 2.509, 1000, 2 0 5
42.43, 2.130, 345, 0 2 7
48.55, 1.875, 438, 2 2 0
50.61, 1.804, 103, 2 2 3
54.36, 1.688, 189, 0 2 10
61.76, 1.502, 164, 0 4 5
77.09, 1.237, 121, 2 2 12
82.23, 1.172, 135, 4 2 5